[1]
Starting from a crystal structure in OQMD, relaxed with GGA-PBE, the powder diffraction line list of FeAg3H6C6N8 was simulated for Cu Kα.
Peak positions follow from Bragg's law for the DFT cell and can differ from measured ones.

Peak list (12 most intense, 10° ≤ 2θ ≤ 90°, in order of rising 2θ)
| 2θ (°) | I/Imax |
| --- | --- |
| 12.13 | 69.0 |
| 14.66 | 25.8 |
| 18.38 | 26.3 |
| 19.29 | 100.0 |
| 19.78 | 26.8 |
| 20.91 | 37.1 |
| 26.71 | 40.6 |
| 28.03 | 27.0 |
| 28.99 | 26.4 |
| 30.07 | 18.9 |
| 30.77 | 22.4 |
| 40.23 | 18.1 |

Structure:
a b c (Å): 9.243 11.976 12.112
angles (deg): 90.00 95.35 90.00
Space group Cc (No. 9)
Asymmetric unit:
Fe (0.000, 0.244, 0.000) x4
Ag (0.028, 0.170, 0.411) x4
Ag (0.458, 0.038, 0.781) x4
Ag (0.469, 0.139, 0.112) x4
H (0.177, 0.069, 0.814) x4
H (0.182, 0.013, 0.205) x4
H (0.201, 0.123, 0.691) x4
H (0.221, 0.422, 0.380) x4
H (0.226, 0.448, 0.836) x4
H (0.244, 0.446, 0.249) x4
C (0.033, 0.091, 0.986) x4
C (0.046, 0.231, 0.153) x4
C (0.197, 0.266, 0.980) x4
C (0.305, 0.278, 0.525) x4
C (0.459, 0.246, 0.346) x4
C (0.473, 0.102, 0.510) x4
N (0.064, 0.004, 0.476) x4
N (0.074, 0.218, 0.249) x4
N (0.181, 0.288, 0.542) x4
N (0.191, 0.473, 0.314) x4
N (0.227, 0.057, 0.743) x4
N (0.321, 0.275, 0.966) x4
N (0.440, 0.242, 0.248) x4
N (0.455, 0.004, 0.510) x4

=====

[2]
Starting from a crystal structure in OQMD, relaxed with GGA-PBE, the powder diffraction line list of AgH3CN2O was simulated for Cu Kα.
Peak positions follow from Bragg's law for the DFT cell and can differ from measured ones.

Peak list (12 most intense, 10° ≤ 2θ ≤ 90°, in order of rising 2θ)
| 2θ (°) | I/Imax |
| --- | --- |
| 12.40 | 100.0 |
| 16.07 | 17.3 |
| 19.36 | 19.9 |
| 25.51 | 17.1 |
| 26.99 | 16.3 |
| 29.14 | 30.7 |
| 30.12 | 61.2 |
| 30.48 | 25.0 |
| 32.46 | 24.6 |
| 34.80 | 31.8 |
| 35.59 | 18.2 |
| 40.80 | 18.3 |

Structure:
a b c (Å): 4.104 14.281 6.130
angles (deg): 90.00 102.69 90.00
Space group P2_1/c (No. 14)
Asymmetric unit:
Ag (0.140, 0.044, 0.312) x4
H (0.071, 0.222, 0.436) x4
H (0.171, 0.652, 0.947) x4
H (0.295, 0.684, 0.213) x4
C (0.499, 0.124, 0.888) x4
N (0.090, 0.666, 0.091) x4
N (0.376, 0.574, 0.725) x4
O (0.372, 0.178, 0.000) x4